# KB6F6
Theoretical powder XRD pattern, Cu Kα. Input: a crystal structure in Alexandria, relaxed with PBE.

Main lines, low angle first (2θ from 10° to 90°):
12.20 deg, 7.257 Å, I = 100; 19.66 deg, 4.516 Å, I = 55; 21.21 deg, 4.189 Å, I = 62; 33.17 deg, 2.700 Å, I = 68; 33.76 deg, 2.655 Å, I = 70; 33.87 deg, 2.647 Å, I = 76; 37.11 deg, 2.423 Å, I = 88; 37.40 deg, 2.404 Å, I = 70; 38.28 deg, 2.351 Å, I = 68; 39.74 deg, 2.268 Å, I = 88

Atomic structure:
Unit cell a=8.412 b=14.483 c=11.566 alpha=90.00 beta=92.77 gamma=90.00
Space group C2/c (No. 15)
Symmetry-distinct sites (fractional):
K 0.000 0.000 0.000 [4 per cell]
K 0.000 0.331 0.250 [4 per cell]
B 0.030 0.330 0.899 [8 per cell]
B 0.068 0.230 0.812 [8 per cell]
B 0.069 0.430 0.812 [8 per cell]
B 0.132 0.268 0.674 [8 per cell]
B 0.133 0.392 0.673 [8 per cell]
B 0.193 0.330 0.803 [8 per cell]
F 0.056 0.331 0.018 [8 per cell]
F 0.118 0.146 0.860 [8 per cell]
F 0.130 0.488 0.359 [8 per cell]
F 0.148 0.166 0.156 [8 per cell]
F 0.240 0.214 0.616 [8 per cell]
F 0.245 0.443 0.615 [8 per cell]

---

# K3Na4Si3BF22
Theoretical powder XRD pattern, Cu Kα. Input: a crystal structure in Alexandria, relaxed with PBE.

Main lines, low angle first (2θ from 10° to 90°):
18.42 deg, 4.815 Å, I = 30; 21.09 deg, 4.212 Å, I = 26; 21.55 deg, 4.124 Å, I = 45; 25.29 deg, 3.522 Å, I = 43; 27.65 deg, 3.226 Å, I = 100; 29.23 deg, 3.056 Å, I = 51; 38.80 deg, 2.321 Å, I = 52; 42.51 deg, 2.127 Å, I = 59; 50.00 deg, 1.824 Å, I = 31; 51.41 deg, 1.777 Å, I = 23

Atomic structure:
Unit cell a=5.614 b=17.380 c=9.369 alpha=90.00 beta=90.00 gamma=90.00
Space group Imm2 (No. 44)
Symmetry-distinct sites (fractional):
K 0.000 0.000 0.000 [2 per cell]
K 0.000 0.372 0.825 [4 per cell]
Na 0.000 0.142 0.653 [4 per cell]
Na 0.000 0.327 0.400 [4 per cell]
Si 0.000 0.216 0.063 [4 per cell]
Si 0.000 0.500 0.260 [2 per cell]
B 0.000 0.000 0.366 [2 per cell]
F 0.000 0.067 0.451 [4 per cell]
F 0.000 0.204 0.879 [4 per cell]
F 0.000 0.228 0.244 [4 per cell]
F 0.000 0.500 0.080 [2 per cell]
F 0.000 0.500 0.444 [2 per cell]
F 0.207 0.000 0.278 [4 per cell]
F 0.215 0.429 0.266 [8 per cell]
F 0.217 0.146 0.077 [8 per cell]
F 0.217 0.285 0.044 [8 per cell]

---

# KNpB2F8
Theoretical powder XRD pattern, Cu Kα. Input: a crystal structure in Alexandria, relaxed with PBE.

Main lines, low angle first (2θ from 10° to 90°):
22.44 deg, 3.961 Å, I = 58; 23.05 deg, 3.858 Å, I = 50; 25.35 deg, 3.513 Å, I = 100; 26.96 deg, 3.307 Å, I = 41; 33.09 deg, 2.708 Å, I = 35; 37.96 deg, 2.371 Å, I = 26; 39.02 deg, 2.308 Å, I = 24; 40.13 deg, 2.247 Å, I = 18; 43.32 deg, 2.089 Å, I = 51; 48.26 deg, 1.886 Å, I = 19

Atomic structure:
Unit cell a=4.6162 b=4.6162 c=29.4400 alpha=90.00 beta=90.00 gamma=120.00
Space group R-3 (No. 148, hexagonal axes)
Symmetry-distinct sites (fractional):
K 0.0000 0.0000 0.0000 [3 per cell]
Np 0.0000 0.0000 0.5000 [3 per cell]
B 0.0000 0.0000 0.2571 [6 per cell]
F 0.0000 0.0000 0.3060 [6 per cell]
F 0.0243 0.7223 0.2424 [18 per cell]

---

# KBOF2
Theoretical powder XRD pattern, Cu Kα. Input: a crystal structure in Alexandria, relaxed with PBE.

Main lines, low angle first (2θ from 10° to 90°):
26.77 deg, 3.330 Å, I = 79; 27.90 deg, 3.198 Å, I = 54; 28.32 deg, 3.152 Å, I = 68; 29.68 deg, 3.010 Å, I = 93; 30.80 deg, 2.903 Å, I = 44; 32.33 deg, 2.769 Å, I = 73; 38.94 deg, 2.313 Å, I = 55; 41.13 deg, 2.195 Å, I = 100; 44.40 deg, 2.040 Å, I = 60; 45.62 deg, 1.989 Å, I = 49

Atomic structure:
Unit cell a=9.919 b=7.070 c=15.281 alpha=90.00 beta=128.01 gamma=90.00
Space group P2_1/c (No. 14)
Symmetry-distinct sites (fractional):
K 0.099 0.103 0.429 [4 per cell]
K 0.290 0.574 0.583 [4 per cell]
K 0.346 0.715 0.855 [4 per cell]
B 0.093 0.150 0.177 [4 per cell]
B 0.291 0.108 0.693 [4 per cell]
B 0.341 0.228 0.863 [4 per cell]
O 0.159 0.248 0.630 [4 per cell]
O 0.199 0.145 0.296 [4 per cell]
O 0.354 0.080 0.805 [4 per cell]
F 0.057 0.546 0.635 [4 per cell]
F 0.080 0.725 0.369 [4 per cell]
F 0.225 0.576 0.134 [4 per cell]
F 0.336 0.146 0.950 [4 per cell]
F 0.430 0.153 0.687 [4 per cell]
F 0.497 0.661 0.071 [4 per cell]

---

# Li2BF6
Theoretical powder XRD pattern, Cu Kα. Input: a crystal structure in Alexandria, relaxed with PBE.

Main lines, low angle first (2θ from 10° to 90°):
17.40 deg, 5.097 Å, I = 29; 18.19 deg, 4.876 Å, I = 63; 23.67 deg, 3.759 Å, I = 40; 23.83 deg, 3.734 Å, I = 41; 33.53 deg, 2.673 Å, I = 100; 33.92 deg, 2.643 Å, I = 43; 34.56 deg, 2.595 Å, I = 57; 36.08 deg, 2.489 Å, I = 43; 40.38 deg, 2.234 Å, I = 28; 42.09 deg, 2.147 Å, I = 29

Atomic structure:
Unit cell a=3.265 b=5.299 c=7.865 alpha=74.31 beta=80.79 gamma=89.77
Space group P1 (No. 1)
Symmetry-distinct sites (fractional):
Li 0.000 0.000 0.000 [1 per cell]
Li 0.449 0.490 0.109 [1 per cell]
B 0.103 0.666 0.535 [1 per cell]
F 0.170 0.666 0.697 [1 per cell]
F 0.240 0.474 0.465 [1 per cell]
F 0.456 0.129 0.110 [1 per cell]
F 0.558 0.136 0.855 [1 per cell]
F 0.893 0.858 0.444 [1 per cell]
F 0.957 0.641 0.087 [1 per cell]

---

# Li2B2F7
Theoretical powder XRD pattern, Cu Kα. Input: a crystal structure in Alexandria, relaxed with PBE.

Main lines, low angle first (2θ from 10° to 90°):
16.63 deg, 5.332 Å, I = 100; 17.04 deg, 5.204 Å, I = 73; 23.02 deg, 3.863 Å, I = 79; 26.15 deg, 3.407 Å, I = 70; 27.25 deg, 3.272 Å, I = 17; 33.19 deg, 2.699 Å, I = 20; 36.30 deg, 2.475 Å, I = 34; 37.27 deg, 2.413 Å, I = 24; 41.21 deg, 2.190 Å, I = 37; 41.51 deg, 2.175 Å, I = 34

Atomic structure:
Unit cell a=7.118 b=8.290 c=11.138 alpha=90.00 beta=106.78 gamma=90.00
Space group C2/c (No. 15)
Symmetry-distinct sites (fractional):
Li 0.232 0.002 0.055 [8 per cell]
B 0.210 0.157 0.302 [8 per cell]
F 0.000 0.079 0.250 [4 per cell]
F 0.180 0.310 0.341 [8 per cell]
F 0.190 0.444 0.601 [8 per cell]
F 0.213 0.346 0.799 [8 per cell]

---

# Li2B3O4F3
Theoretical powder XRD pattern, Cu Kα. Input: a crystal structure in Alexandria, relaxed with PBE.

Main lines, low angle first (2θ from 10° to 90°):
17.41 deg, 5.094 Å, I = 10; 19.15 deg, 4.634 Å, I = 100; 21.66 deg, 4.103 Å, I = 46; 23.65 deg, 3.762 Å, I = 25; 24.72 deg, 3.602 Å, I = 14; 24.98 deg, 3.565 Å, I = 19; 31.25 deg, 2.863 Å, I = 27; 35.24 deg, 2.547 Å, I = 24; 35.99 deg, 2.496 Å, I = 19; 42.23 deg, 2.140 Å, I = 15

Atomic structure:
Unit cell a=4.991 b=8.823 c=12.478 alpha=90.00 beta=90.00 gamma=90.00
Space group P2_12_12_1 (No. 19)
Symmetry-distinct sites (fractional):
Li 0.080 0.145 0.103 [4 per cell]
Li 0.165 0.208 0.571 [4 per cell]
B 0.023 0.921 0.270 [4 per cell]
B 0.083 0.182 0.339 [4 per cell]
B 0.085 0.470 0.039 [4 per cell]
O 0.031 0.628 0.060 [4 per cell]
O 0.038 0.367 0.129 [4 per cell]
O 0.051 0.826 0.184 [4 per cell]
O 0.062 0.073 0.252 [4 per cell]
F 0.078 0.922 0.552 [4 per cell]
F 0.131 0.787 0.853 [4 per cell]
F 0.142 0.549 0.503 [4 per cell]